# 1
Theoretical powder diffraction line list of Sb2Pt2Pb3 for a wavelength of 1.5418 Å, from the PBE geometry in OQMD.

Structural model:
```
data_Sb2Pt2Pb3
_cell_length_a 9.5948
_cell_length_b 9.5948
_cell_length_c 9.5948
_cell_angle_alpha 28.56
_cell_angle_beta 28.56
_cell_angle_gamma 28.56
_symmetry_space_group_name_H-M 'P 1'
_symmetry_Int_Tables_number 1
loop_
_symmetry_equiv_pos_as_xyz
'x,y,z'
loop_
_atom_site_label
_atom_site_type_symbol
_atom_site_fract_x
_atom_site_fract_y
_atom_site_fract_z
Sb1 Sb 0.0000 0.0000 0.0000
Sb2 Sb 0.4008 0.4008 0.4008
Pt1 Pt 0.1707 0.1707 0.1707
Pt2 Pt 0.6994 0.6994 0.6994
Pb1 Pb 0.2732 0.2732 0.2732
Pb2 Pb 0.5408 0.5408 0.5408
Pb3 Pb 0.8034 0.8034 0.8034
```

Main lines, in order of rising 2θ (2θ from 10° to 90°):
| d [Å] | I (rel.) |
| --- | --- |
| 3.929 | 19 |
| 3.524 | 20 |
| 2.841 | 49 |
| 2.639 | 43 |
| 2.366 | 100 |
| 2.289 | 14 |
| 2.140 | 29 |
| 1.366 | 18 |

# 2
Theoretical powder diffraction line list of PrBePd3 for a wavelength of 1.5418 Å, from the PBE geometry in OQMD.

Structural model:
```
data_PrBePd3
_cell_length_a 5.9706
_cell_length_b 5.9706
_cell_length_c 5.5797
_cell_angle_alpha 90.00
_cell_angle_beta 90.00
_cell_angle_gamma 120.00
_symmetry_space_group_name_H-M 'P 1'
_symmetry_Int_Tables_number 1
loop_
_symmetry_equiv_pos_as_xyz
'x,y,z'
loop_
_atom_site_label
_atom_site_type_symbol
_atom_site_fract_x
_atom_site_fract_y
_atom_site_fract_z
Pr1 Pr 0.3333 0.6667 0.2500
Pr2 Pr 0.6667 0.3333 0.7500
Be1 Be 0.0000 0.0000 0.0000
Be2 Be 0.0000 0.0000 0.5000
Pd1 Pd 0.1742 0.3483 0.7500
Pd2 Pd 0.1742 0.8258 0.7500
Pd3 Pd 0.3483 0.1742 0.2500
Pd4 Pd 0.6517 0.8258 0.7500
Pd5 Pd 0.8258 0.1742 0.2500
Pd6 Pd 0.8258 0.6517 0.2500
```

Main lines, in order of rising 2θ (2θ from 10° to 90°):
| d [Å] | I (rel.) |
| --- | --- |
| 2.790 | 36 |
| 2.585 | 21 |
| 2.346 | 100 |
| 1.896 | 18 |
| 1.510 | 25 |
| 1.493 | 16 |
| 1.316 | 20 |
| 1.259 | 13 |